LaZn10Ni2: computed powder diffractogram (Cu Kα X-rays), based on a crystal structure in Alexandria, relaxed with PBE.

Cell and atoms:
Cell lengths 9.023, 6.886, 6.825 Å; angles 82.30, 49.14, 48.56 degrees
Fractional coordinates of all 13 atoms:
La 0.000 0.000 0.000
Zn 0.000 0.000 0.500
Zn 0.015 0.350 0.650
Zn 0.275 0.490 0.510
Zn 0.350 0.015 0.985
Zn 0.490 0.275 0.725
Zn 0.500 0.500 0.000
Zn 0.510 0.725 0.275
Zn 0.650 0.985 0.015
Zn 0.725 0.510 0.490
Zn 0.985 0.650 0.350
Ni 0.000 0.500 0.000
Ni 0.500 0.000 0.500

Principal peaks in the range 2θ from 5° to 70°, sorted by position:
2θ = 28.31°, I 19; 2θ = 31.45°, I 19; 2θ = 34.78°, I 68; 2θ = 35.79°, I 27; 2θ = 39.97°, I 97; 2θ = 40.11°, I 83; 2θ = 40.43°, I 65; 2θ = 41.17°, I 100; 2θ = 45.12°, I 30; 2θ = 45.93°, I 28; 2θ = 46.12°, I 39; 2θ = 67.23°, I 17